Starting from a structure optimized by DFT (PBE), the powder diffraction line list of Rb3SnF8 was computed for Cu Kα.
Neutral-atom scattering factors, no anomalous dispersion.

Largest 10 diffraction maxima, low angle first, 10° ≤ 2θ ≤ 90°:
2θ 15.9, intensity 15
2θ 26.0, intensity 41
2θ 26.2, intensity 100
2θ 37.0, intensity 31
2θ 37.8, intensity 13
2θ 45.9, intensity 55
2θ 46.4, intensity 22
2θ 54.0, intensity 18
2θ 73.0, intensity 16
2θ 73.4, intensity 12

```
Rb3SnF8
1.0
-3.432 3.432 4.760
3.432 -3.432 4.760
3.432 3.432 -4.760
Rb Sn F
3 1 8
Cartesian
0.000 0.000 0.000
3.432 0.000 2.380
0.000 3.432 2.380
0.000 0.000 4.760
0.822 -0.822 2.920
2.010 2.010 -0.475
1.423 -1.423 5.235
-0.822 0.822 2.920
2.610 2.610 1.840
1.423 1.423 4.285
-1.423 1.423 5.235
0.822 0.822 6.601
```